# Ba4Mn2Ag2As4O17
Simulated XRD peak list, Cu Ka. Input: a cell relaxed with GGA+U.

Structure:
```
data_Ba4Mn2Ag2As4O17
_chemical_formula_sum 'Ba4 Mn2 Ag2 As4 O17'
_space_group_name_H-M_alt 'P 1'
_space_group_IT_number 1
_space_group_name_Hall 'P 1'
_cell_length_a 6.032
_cell_length_b 8.906
_cell_length_c 9.542
_cell_angle_alpha 65.50
_cell_angle_beta 88.59
_cell_angle_gamma 88.65
loop_
_atom_site_label
_atom_site_type_symbol
_atom_site_fract_x
_atom_site_fract_y
_atom_site_fract_z
Ba1 Ba 0.000 0.000 0.000
Ba2 Ba 0.030 0.460 0.145
Ba3 Ba 0.438 0.997 0.647
Ba4 Ba 0.472 0.446 0.791
Mn1 Mn 0.223 0.722 0.400
Mn2 Mn 0.719 0.719 0.401
Ag1 Ag 0.508 0.391 0.389
Ag2 Ag 0.960 0.055 0.396
As1 As 0.482 0.729 0.073
As2 As 0.521 0.117 0.191
As3 As 0.966 0.709 0.729
As4 As 0.982 0.316 0.596
O1 O 0.000 0.842 0.815
O2 O 0.077 0.250 0.457
O3 O 0.186 0.250 0.732
O4 O 0.205 0.736 0.613
O5 O 0.244 0.700 0.191
O6 O 0.252 0.190 0.127
O7 O 0.450 0.592 0.992
O8 O 0.472 0.576 0.479
O9 O 0.475 0.933 0.946
O10 O 0.481 0.900 0.322
O11 O 0.580 0.185 0.340
O12 O 0.725 0.688 0.176
O13 O 0.725 0.755 0.623
O14 O 0.734 0.238 0.684
O15 O 0.955 0.505 0.857
O16 O 0.963 0.531 0.493
O17 O 0.968 0.859 0.320
```

Principal peaks in the range 10° ≤ 2θ ≤ 80°, sorted by position:
(hkl)  2θ/deg  d (Å)  I_rel
1 2 1  24.6  3.620  57
-1 2 1  25.2  3.537  36
1 2 2  27.0  3.298  53
-1 2 2  27.8  3.214  86
0 1 3  28.1  3.173  53
2 0 0  29.6  3.015  94
1 -1 2  30.8  2.899  100
1 1 -2  31.0  2.886  82
1 2 -1  31.6  2.834  78
1 -2 1  31.8  2.818  51